Calculated X-ray powder pattern
Compound: Tl2FeSnO4
Radiation: Cu Ka
Structure: DFT lattice parameters and positions (GGA+U)
Neutral-atom scattering factors, no anomalous dispersion.

Main lines, low angle first (2θ = 10–80°):
two_theta  Rel. int.  (hkl)
29.34  1000  0 1 -1
30.03  930  1 1 2
30.26  463  1 2 1
31.86  382  2 1 1
41.77  193  0 2 2
43.21  179  2 0 2
44.48  162  2 2 0
51.60  228  0 3 1
52.89  196  -2 1 1
55.63  193  3 2 3

Lattice parameters (Å, degrees): 5.6216 5.9338 5.9643 61.60 61.92 63.62
Atoms (fractional coordinates):
1 Tl 0.0000 0.0000 0.0000
2 Tl 0.2358 0.2695 0.2522
3 Fe 0.5179 0.5068 0.5002
4 Sn 0.7750 0.7559 0.7436
5 O 0.1279 0.5808 0.5054
6 O 0.4486 0.7133 0.7359
7 O 0.7689 0.1345 0.6239
8 O 0.7912 0.6265 0.1142